Starting from the GGA-PBE geometry in Alexandria, the X-ray powder pattern of HoH2Pd8 was computed for a wavelength of 1.5418 Å.

Cell lengths 10.289, 7.303, 4.545 Å; angles 90.00, 102.35, 90.00 degrees
Space group C2/m (No. 12)
Symmetry-distinct sites (fractional):
Ho  0.000  0.000  0.000 x2
H  0.240  0.500  0.272 x4
Pd  0.066  0.500  0.279 x4
Pd  0.137  0.184  0.584 x8
Pd  0.225  0.500  0.862 x4

Peak list (10 most intense, 2θ from 10° to 90°, by angle)
Position (°2θ)  I_rel
24.38  28
31.73  80
37.15  100
38.04  21
38.98  99
41.62  84
42.38  55
43.73  45
46.09  31
75.97  26